The following is a simulated powder diffraction line list of ErNpSeO2. It was derived from the PBE geometry in Alexandria, using λ = 1.5418 Å (Cu Kα).

Largest 6 diffraction maxima, sorted by position, 10 to 90 degrees two-theta:
index  2theta  I_rel
1 0 1  24.49  24.2
1 0 3  32.26  100.0
1 1 0  33.26  43.2
2 0 0  47.74  20.8
1 1 6  56.89  17.7
2 1 3  58.80  36.7

Structure:
Cell lengths 3.8099, 3.8099, 12.1488 Å; angles 90.00, 90.00, 90.00 degrees
Fractional coordinates of all 10 atoms:
Er: 0.0000 0.0000 0.0000
Er: 0.5000 0.5000 0.5000
Np: 0.0000 0.0000 0.3005
Np: 0.5000 0.5000 0.8005
Se: 0.0000 0.0000 0.6548
Se: 0.5000 0.5000 0.1548
O: 0.0000 0.5000 0.4080
O: 0.0000 0.5000 0.9080
O: 0.5000 0.0000 0.4080
O: 0.5000 0.0000 0.9080

The following is a simulated powder diffraction line list of ErNpSe2O. It was derived from the PBE geometry in Alexandria, using λ = 1.5418 Å (Cu Kα).

Largest 6 diffraction maxima, sorted by position, 10 to 90 degrees two-theta:
index  2theta  I_rel
1 0 2  25.77  66.6
1 0 3  29.42  39.0
1 1 0  31.96  100.0
1 0 4  33.93  34.4
1 1 4  41.07  43.6
2 0 0  45.83  41.7

Structure:
Cell lengths 3.9596, 3.9596, 14.1916 Å; angles 90.00, 90.00, 90.00 degrees
Fractional coordinates of all 10 atoms:
Er: 0.2500 0.2500 0.1191
Er: 0.7500 0.7500 0.8809
Np: 0.2500 0.2500 0.5849
Np: 0.7500 0.7500 0.4151
Se: 0.2500 0.2500 0.3103
Se: 0.2500 0.2500 0.9072
Se: 0.7500 0.7500 0.0928
Se: 0.7500 0.7500 0.6897
O: 0.2500 0.7500 0.5000
O: 0.7500 0.2500 0.5000